Entry 1:
# Rb2ReNiBr6
Theoretical X-ray diffraction stick pattern, Cu Ka. Input: a DFT-relaxed cell (GGA-PBE, Alexandria).
Lines closer than 0.1° are merged.

Top 12 peaks for 2θ = 10–90°, by angle:
14.6°, I = 17; 16.9°, I = 39; 23.9°, I = 39; 29.4°, I = 42; 34.1°, I = 100; 38.2°, I = 20; 42.1°, I = 18; 49.0°, I = 70; 58.1°, I = 17; 61.0°, I = 24; 71.8°, I = 11; 81.9°, I = 31

Crystal structure
Unit cell a=7.4412 b=7.4412 c=7.4412 alpha=60.00 beta=60.00 gamma=60.00
Element x y z (fractional)
Rb  0.2500  0.2500  0.2500
Rb  0.7500  0.7500  0.7500
Re  0.0000  0.0000  0.0000
Ni  0.5000  0.5000  0.5000
Br  0.2497  0.2497  0.7503
Br  0.2497  0.7503  0.2497
Br  0.2497  0.7503  0.7503
Br  0.7503  0.2497  0.2497
Br  0.7503  0.2497  0.7503
Br  0.7503  0.7503  0.2497



Entry 2:
# BaLi3Ir
Theoretical X-ray diffraction stick pattern, Cu Ka. Input: a DFT-relaxed cell (GGA-PBE, Alexandria).
Lines closer than 0.1° are merged.

Top 12 peaks for 2θ = 10–90°, by angle:
10.6°, I = 39; 12.9°, I = 100; 16.3°, I = 57; 18.8°, I = 18; 26.3°, I = 46; 27.9°, I = 41; 28.1°, I = 37; 31.5°, I = 27; 36.9°, I = 30; 37.7°, I = 29; 42.3°, I = 25; 54.9°, I = 18

Crystal structure
Unit cell a=8.8030 b=8.8030 c=6.5503 alpha=101.23 beta=101.23 gamma=73.02
Element x y z (fractional)
Ba  0.0772  0.9228  0.7500
Ba  0.3669  0.6331  0.2500
Ba  0.6331  0.3669  0.7500
Ba  0.9228  0.0772  0.2500
Li  0.0035  0.3719  0.0960
Li  0.0189  0.3803  0.5893
Li  0.3072  0.3097  0.9043
Li  0.3097  0.3072  0.4043
Li  0.3719  0.0035  0.5960
Li  0.3803  0.0189  0.0893
Li  0.6197  0.9811  0.9107
Li  0.6281  0.9965  0.4040
Li  0.6903  0.6928  0.5957
Li  0.6928  0.6903  0.0957
Li  0.9811  0.6197  0.4107
Li  0.9965  0.6281  0.9040
Ir  0.2457  0.5681  0.7086
Ir  0.4319  0.7543  0.7914
Ir  0.5681  0.2457  0.2086
Ir  0.7543  0.4319  0.2914



Entry 3:
# CaTb5As6
Theoretical X-ray diffraction stick pattern, Cu Ka. Input: a DFT-relaxed cell (GGA-PBE, Alexandria).
Lines closer than 0.1° are merged.

Top 12 peaks for 2θ = 10–90°, by angle:
14.9°, I = 3; 26.3°, I = 15; 30.4°, I = 100; 43.6°, I = 74; 51.6°, I = 6; 53.9°, I = 7; 54.1°, I = 20; 63.3°, I = 12; 71.8°, I = 22; 71.9°, I = 11; 79.8°, I = 6; 80.0°, I = 17

Crystal structure
Unit cell a=7.1947 b=7.1947 c=7.2090 alpha=99.56 beta=99.56 gamma=120.06
Element x y z (fractional)
Ca  0.0000  0.0000  0.0000
Tb  0.1654  0.8346  0.5000
Tb  0.3328  0.6672  0.0000
Tb  0.5000  0.5000  0.5000
Tb  0.6672  0.3328  0.0000
Tb  0.8346  0.1654  0.5000
As  0.0845  0.4229  0.2526
As  0.2545  0.2545  0.7473
As  0.4229  0.0845  0.2526
As  0.5771  0.9155  0.7474
As  0.7455  0.7455  0.2527
As  0.9155  0.5771  0.7474



Entry 4:
# Pm5Al3
Theoretical X-ray diffraction stick pattern, Cu Ka. Input: a DFT-relaxed cell (GGA-PBE, Alexandria).
Lines closer than 0.1° are merged.

Top 12 peaks for 2θ = 10–90°, by angle:
20.6°, I = 44; 23.8°, I = 35; 26.4°, I = 56; 31.7°, I = 100; 33.7°, I = 67; 35.8°, I = 37; 36.0°, I = 40; 41.7°, I = 78; 45.2°, I = 23; 60.5°, I = 28; 63.3°, I = 33; 64.2°, I = 26

Crystal structure
Unit cell a=8.6313 b=8.6313 c=3.3817 alpha=90.00 beta=90.00 gamma=120.00
Element x y z (fractional)
Pm  0.0000  0.2453  0.0000
Pm  0.2453  0.0000  0.0000
Pm  0.3333  0.6667  0.0000
Pm  0.6667  0.3333  0.0000
Pm  0.7547  0.7547  0.0000
Al  0.0000  0.6208  0.5000
Al  0.3792  0.3792  0.5000
Al  0.6208  0.0000  0.5000



Entry 5:
# Sn6Se5
Theoretical X-ray diffraction stick pattern, Cu Ka. Input: a DFT-relaxed cell (GGA-PBE, Alexandria).
Lines closer than 0.1° are merged.

Top 12 peaks for 2θ = 10–90°, by angle:
25.4°, I = 16; 30.3°, I = 52; 30.6°, I = 100; 37.7°, I = 15; 41.5°, I = 15; 43.4°, I = 36; 43.7°, I = 30; 45.9°, I = 13; 52.3°, I = 15; 55.8°, I = 11; 63.7°, I = 8; 71.4°, I = 9

Crystal structure
Unit cell a=7.4197 b=7.4197 c=7.1273 alpha=100.48 beta=100.48 gamma=123.01
Element x y z (fractional)
Sn  0.0625  0.3680  0.2316
Sn  0.2241  0.2241  0.7387
Sn  0.3680  0.0625  0.2316
Sn  0.6320  0.9375  0.7684
Sn  0.7759  0.7759  0.2613
Sn  0.9375  0.6320  0.7684
Se  0.2051  0.7949  0.5000
Se  0.3483  0.6517  0.0000
Se  0.5000  0.5000  0.5000
Se  0.6517  0.3483  0.0000
Se  0.7949  0.2051  0.5000



Entry 6:
# Er7BI12
Theoretical X-ray diffraction stick pattern, Cu Ka. Input: a DFT-relaxed cell (GGA-PBE, Alexandria).
Lines closer than 0.1° are merged.

Top 12 peaks for 2θ = 10–90°, by angle:
11.4°, I = 27; 25.5°, I = 13; 28.4°, I = 15; 29.6°, I = 100; 34.6°, I = 9; 36.6°, I = 10; 42.1°, I = 34; 42.7°, I = 33; 52.4°, I = 15; 61.5°, I = 11; 69.4°, I = 11; 70.1°, I = 11

Crystal structure
Unit cell a=9.5691 b=9.5691 c=9.5691 alpha=107.82 beta=107.82 gamma=107.82
Element x y z (fractional)
Er  0.0000  0.0000  0.0000
Er  0.2102  0.4687  0.4024
Er  0.4024  0.2102  0.4687
Er  0.4687  0.4024  0.2102
Er  0.5313  0.5976  0.7898
Er  0.5976  0.7898  0.5313
Er  0.7898  0.5313  0.5976
B  0.5000  0.5000  0.5000
I  0.0327  0.1119  0.3466
I  0.1119  0.3466  0.0327
I  0.1870  0.5766  0.7256
I  0.2744  0.8130  0.4234
I  0.3466  0.0327  0.1119
I  0.4234  0.2744  0.8130
I  0.5766  0.7256  0.1870
I  0.6534  0.9673  0.8881
I  0.7256  0.1870  0.5766
I  0.8130  0.4234  0.2744
I  0.8881  0.6534  0.9673
I  0.9673  0.8881  0.6534



Entry 7:
# Na4B5C3
Theoretical X-ray diffraction stick pattern, Cu Ka. Input: a DFT-relaxed cell (GGA-PBE, Alexandria).
Lines closer than 0.1° are merged.

Top 12 peaks for 2θ = 10–90°, by angle:
36.1°, I = 19; 36.3°, I = 8; 42.1°, I = 100; 42.2°, I = 51; 42.4°, I = 39; 56.9°, I = 10; 64.9°, I = 9; 65.2°, I = 17; 77.4°, I = 12; 80.5°, I = 11; 80.6°, I = 9; 80.9°, I = 22

Crystal structure
Unit cell a=5.7224 b=5.7224 c=8.5216 alpha=90.00 beta=90.00 gamma=119.67
Element x y z (fractional)
Na  0.2494  0.7506  0.5028
Na  0.2494  0.7506  0.9972
Na  0.2500  0.2500  0.0000
Na  0.2500  0.2500  0.5000
Na  0.7500  0.7500  0.0000
Na  0.7500  0.7500  0.5000
Na  0.7506  0.2494  0.0028
Na  0.7506  0.2494  0.4972
B  0.0710  0.4077  0.7500
B  0.0834  0.9166  0.7500
B  0.4077  0.0710  0.2500
B  0.4083  0.5917  0.2500
B  0.4148  0.5852  0.7500
B  0.5852  0.4148  0.2500
B  0.5917  0.4083  0.7500
B  0.5923  0.9290  0.7500
B  0.9166  0.0834  0.2500
B  0.9290  0.5923  0.2500
C  0.0838  0.4155  0.2500
C  0.0842  0.9158  0.2500
C  0.4155  0.0838  0.7500
C  0.5845  0.9162  0.2500
C  0.9158  0.0842  0.7500
C  0.9162  0.5845  0.7500



Entry 8:
# K2HgF3
Theoretical X-ray diffraction stick pattern, Cu Ka. Input: a DFT-relaxed cell (GGA-PBE, Alexandria).
Lines closer than 0.1° are merged.

Top 12 peaks for 2θ = 10–90°, by angle:
15.1°, I = 68; 18.2°, I = 87; 25.1°, I = 42; 28.2°, I = 64; 29.2°, I = 58; 33.0°, I = 46; 33.2°, I = 100; 33.4°, I = 49; 42.3°, I = 23; 42.7°, I = 21; 47.8°, I = 68; 57.5°, I = 23

Crystal structure
Unit cell a=6.7277 b=6.7277 c=6.7277 alpha=147.94 beta=133.02 gamma=58.02
Element x y z (fractional)
K  0.1645  0.1645  0.0000
K  0.8355  0.8355  0.0000
Hg  0.5000  0.5000  0.0000
F  0.0000  0.5000  0.5000
F  0.3313  0.8313  0.5000
F  0.6687  0.1687  0.5000